For MgBi2O4, a DFT-relaxed cell (GGA-PBE, the Materials Project) gives the computed X-ray diffraction stick pattern in this record (Cu Kα).
Intensities are scaled so that the largest is 100.

Main lines, most intense first (2θ = 5–70°):
| 2θ/deg | I (rel.) |
| --- | --- |
| 30.4 | 100 |
| 26.4 | 50 |
| 31.5 | 49 |
| 26.7 | 43 |
| 54.4 | 39 |
| 31.2 | 32 |

Atomic structure:
a b c (Å): 6.749 6.749 6.749
angles (deg): 120.60 117.68 91.51
Positions (direct):
Mg 0.500 0.000 0.000
Mg 0.500 0.500 0.500
Bi 0.000 0.000 0.000
Bi 0.122 0.372 0.750
Bi 0.500 0.000 0.500
Bi 0.878 0.628 0.250
O 0.270 0.262 0.492
O 0.270 0.779 0.008
O 0.290 0.249 0.040
O 0.291 0.751 0.540
O 0.709 0.249 0.460
O 0.710 0.751 0.960
O 0.730 0.221 0.992
O 0.730 0.738 0.508